Computed powder XRD pattern
Compound: LiTaWO7
Radiation: CuKα
Structure: DFT lattice parameters and positions (GGA+U)
Lines closer than 0.1° are merged.

Peak list (10 most intense, 2θ = 10–90°, in order of rising 2θ)
2theta, I_rel, (hkl)
14.6, 100, 1 0 1
28.0, 19, 1 2 1
28.1, 22, 2 1 1
28.4, 17, 1 0 3
29.3, 36, 0 2 2
29.5, 29, 2 0 2
33.9, 14, 2 2 0
49.1, 18, 2 2 4
57.8, 10, 2 4 2
58.1, 11, 4 2 2

Atomic structure:
```
data_LiTaWO7
_cell_length_a 7.4462
_cell_length_b 7.5125
_cell_length_c 10.4124
_cell_angle_alpha 90.00
_cell_angle_beta 90.00
_cell_angle_gamma 90.00
_symmetry_space_group_name_H-M 'I m m a'
_symmetry_Int_Tables_number 74
_symmetry_space_group_name_Hall '-I 2b 2'
loop_
_atom_site_label
_atom_site_fract_x
_atom_site_fract_y
_atom_site_fract_z
Li1 0.2500 0.2500 0.2500
Ta1 0.0000 0.0000 0.0000
W1 0.2500 0.2500 0.7500
O1 0.0000 0.2500 0.0690
O2 0.0000 0.2500 0.2813
O3 0.0000 0.2500 0.6931
O4 0.1855 0.0671 0.8728
```